1.
Diffraction record for Ho2Zr2O7. The XRD peak list is simulated, not measured: it uses a cell relaxed with GGA-PBE and Cu Kα.
Lines closer than 0.1° are merged.

Most intense lines, 2θ from 5° to 70°, sorted by position:
29.12 deg, I 100.0
29.97 deg, I 94.1
34.48 deg, I 40.5
49.05 deg, I 62.1
58.05 deg, I 39.4
59.50 deg, I 28.1

Structure:
a = 7.515 Å, b = 3.604 Å, c = 10.611 Å
α = 90.00°, β = 90.00°, γ = 90.00°
Space group Pmma (No. 51)
One atom of each set of equivalent atoms:
Ho1 0.000 0.000 0.000 x2
Ho2 0.250 0.500 0.274 x2
Zr1 0.000 0.000 0.500 x2
Zr2 0.250 0.500 0.745 x2
O1 0.019 0.500 0.619 x4
O2 0.044 0.500 0.129 x4
O3 0.250 0.000 0.388 x2
O4 0.250 0.000 0.632 x2
O5 0.250 0.000 0.881 x2


2.
Diffraction record for Sr4IrN4. The XRD peak list is simulated, not measured: it uses a cell relaxed with GGA-PBE and Cu Kα.
Lines closer than 0.1° are merged.

Most intense lines, 2θ from 5° to 70°, sorted by position:
8.85 deg, I 83.2
27.88 deg, I 79.7
30.23 deg, I 52.2
31.37 deg, I 100.0
33.20 deg, I 96.9
39.95 deg, I 49.1

Structure:
a = 13.844 Å, b = 3.748 Å, c = 14.436 Å
α = 90.00°, β = 90.00°, γ = 90.00°
Space group Pnma (No. 62)
One atom of each set of equivalent atoms:
Sr1 0.012 0.250 0.121 x4
Sr2 0.042 0.750 0.388 x4
Sr3 0.220 0.250 0.740 x4
Sr4 0.235 0.750 0.977 x4
Ir1 0.130 0.750 0.591 x4
N1 0.091 0.250 0.969 x4
N2 0.125 0.250 0.258 x4
N3 0.126 0.250 0.886 x4
N4 0.175 0.250 0.332 x4


3.
Diffraction record for KAuBr4. The XRD peak list is simulated, not measured: it uses a cell relaxed with GGA-PBE and Cu Kα.
Lines closer than 0.1° are merged.

Most intense lines, 2θ from 5° to 70°, sorted by position:
13.59 deg, I 45.6
14.60 deg, I 100.0
18.64 deg, I 37.4
22.74 deg, I 24.5
23.01 deg, I 76.8
24.47 deg, I 27.2

Structure:
a = 9.610 Å, b = 6.857 Å, c = 13.146 Å
α = 90.00°, β = 97.70°, γ = 90.00°
Space group P2_1/c (No. 14)
One atom of each set of equivalent atoms:
K1 0.211 0.056 0.183 x4
Au1 0.000 0.000 0.500 x2
Au2 0.500 0.000 0.500 x2
Br1 0.090 0.556 0.184 x4
Br2 0.129 0.707 0.453 x4
Br3 0.338 0.240 0.926 x4
Br4 0.495 0.651 0.828 x4


4.
Diffraction record for Ti4Bi2O11. The XRD peak list is simulated, not measured: it uses a cell relaxed with GGA-PBE and Cu Kα.
Lines closer than 0.1° are merged.

Most intense lines, 2θ from 5° to 70°, sorted by position:
11.88 deg, I 71.8
27.31 deg, I 53.4
29.86 deg, I 100.0
30.00 deg, I 68.4
30.29 deg, I 53.5
32.74 deg, I 46.9

Structure:
a = 14.931 Å, b = 3.797 Å, c = 10.311 Å
α = 90.00°, β = 132.88°, γ = 90.00°
Space group C2/m (No. 12)
One atom of each set of equivalent atoms:
Ti1 0.119 0.000 0.032 x4
Ti2 0.161 0.000 0.718 x4
Bi1 0.111 0.500 0.358 x4
O1 0.000 0.000 0.500 x2
O2 0.063 0.000 0.167 x4
O3 0.123 0.000 0.853 x4
O4 0.146 0.500 0.070 x4
O5 0.201 0.500 0.742 x4
O6 0.207 0.000 0.549 x4


5.
Diffraction record for VCrAs2. The XRD peak list is simulated, not measured: it uses a cell relaxed with GGA-PBE and Cu Kα.
Lines closer than 0.1° are merged.

Most intense lines, 2θ from 5° to 70°, sorted by position:
32.70 deg, I 50.1
33.59 deg, I 100.0
42.19 deg, I 35.5
42.72 deg, I 33.7
43.42 deg, I 69.1
51.47 deg, I 35.5

Structure:
a = 3.437 Å, b = 6.220 Å, c = 5.779 Å
α = 90.00°, β = 90.00°, γ = 90.00°
Space group Pmc2_1 (No. 26)
One atom of each set of equivalent atoms:
V1 0.000 0.057 0.000 x2
Cr1 0.500 0.443 0.014 x2
As1 0.000 0.330 0.306 x2
As2 0.500 0.176 0.708 x2


6.
Diffraction record for HoMo6S8. The XRD peak list is simulated, not measured: it uses a cell relaxed with GGA-PBE and Cu Kα.
Lines closer than 0.1° are merged.

Most intense lines, 2θ from 5° to 70°, sorted by position:
13.65 deg, I 77.6
19.24 deg, I 82.2
30.95 deg, I 89.2
41.97 deg, I 100.0
43.98 deg, I 76.3
46.46 deg, I 98.7

Structure:
a = 9.1272 Å, b = 9.1272 Å, c = 11.3637 Å
α = 90.00°, β = 90.00°, γ = 120.00°
Space group R-3 (No. 148, hexagonal axes)
One atom of each set of equivalent atoms:
Ho1 0.0000 0.0000 0.0000 x3
Mo1 0.0190 0.8406 0.4010 x18
S1 0.0000 0.0000 0.2379 x6
S2 0.0035 0.3815 0.7500 x18


7.
Diffraction record for Ba2YMgBiO6. The XRD peak list is simulated, not measured: it uses a cell relaxed with GGA-PBE and Cu Kα.
Lines closer than 0.1° are merged.

Most intense lines, 2θ from 5° to 70°, sorted by position:
18.70 deg, I 41.0
28.35 deg, I 100.0
40.10 deg, I 31.0
40.53 deg, I 13.0
50.19 deg, I 28.3
58.65 deg, I 12.9

Structure:
a = 10.907 Å, b = 6.296 Å, c = 7.385 Å
α = 90.00°, β = 119.54°, γ = 90.00°
Space group Cm (No. 8)
One atom of each set of equivalent atoms:
Ba1 0.000 0.000 0.000 x2
Ba2 0.043 0.500 0.631 x2
Y1 0.223 0.500 0.170 x2
Mg1 0.327 0.000 0.983 x2
Bi1 0.178 0.000 0.532 x2
O1 0.198 0.238 0.352 x4
O2 0.223 0.260 0.929 x4
O3 0.458 0.500 0.349 x2
O4 0.483 0.000 0.930 x2


8.
Diffraction record for EuBi3. The XRD peak list is simulated, not measured: it uses a cell relaxed with GGA-PBE and Cu Kα.
Lines closer than 0.1° are merged.

Most intense lines, 2θ from 5° to 70°, sorted by position:
17.70 deg, I 1.3
30.90 deg, I 100.0
35.83 deg, I 51.0
51.57 deg, I 36.8
61.34 deg, I 44.2
64.39 deg, I 12.8

Structure:
a = 5.012 Å, b = 5.012 Å, c = 5.012 Å
α = 90.00°, β = 90.00°, γ = 90.00°
Space group Pm-3m (No. 221)
One atom of each set of equivalent atoms:
Eu1 0.000 0.000 0.000 x1
Bi1 0.000 0.500 0.500 x3


9.
Diffraction record for CdOsO3. The XRD peak list is simulated, not measured: it uses a cell relaxed with GGA-PBE and Cu Kα.
Lines closer than 0.1° are merged.

Most intense lines, 2θ from 5° to 70°, sorted by position:
22.55 deg, I 11.6
32.10 deg, I 100.0
46.04 deg, I 27.3
51.85 deg, I 5.1
57.23 deg, I 39.2
67.15 deg, I 16.7

Structure:
a = 3.943 Å, b = 3.943 Å, c = 3.943 Å
α = 90.00°, β = 90.00°, γ = 90.00°
Space group Pm-3m (No. 221)
One atom of each set of equivalent atoms:
Cd1 0.000 0.000 0.000 x1
Os1 0.500 0.500 0.500 x1
O1 0.000 0.500 0.500 x3


10.
Diffraction record for B2TeO6. The XRD peak list is simulated, not measured: it uses a cell relaxed with GGA-PBE and Cu Kα.
Lines closer than 0.1° are merged.

Most intense lines, 2θ from 5° to 70°, sorted by position:
17.40 deg, I 66.4
19.00 deg, I 100.0
21.03 deg, I 36.0
23.18 deg, I 24.4
27.42 deg, I 25.0
31.94 deg, I 22.9

Structure:
a = 5.243 Å, b = 8.450 Å, c = 11.532 Å
α = 90.00°, β = 103.57°, γ = 90.00°
Space group P2_1/c (No. 14)
One atom of each set of equivalent atoms:
B1 0.037 0.142 0.369 x4
B2 0.461 0.210 0.119 x4
Te1 0.023 0.212 0.628 x4
O1 0.090 0.233 0.801 x4
O2 0.091 0.677 0.043 x4
O3 0.109 0.507 0.841 x4
O4 0.248 0.106 0.107 x4
O5 0.293 0.661 0.387 x4
O6 0.384 0.135 0.636 x4


11.
Diffraction record for TeMoWSeS2. The XRD peak list is simulated, not measured: it uses a cell relaxed with GGA-PBE and Cu Kα.
Lines closer than 0.1° are merged.

Most intense lines, 2θ from 5° to 70°, sorted by position:
6.85 deg, I 22.3
11.42 deg, I 100.0
31.28 deg, I 39.0
36.47 deg, I 65.5
43.87 deg, I 40.2
55.63 deg, I 23.2

Structure:
a = 3.3050 Å, b = 3.3050 Å, c = 38.7270 Å
α = 90.00°, β = 90.00°, γ = 120.00°
Space group P3m1 (No. 156)
One atom of each set of equivalent atoms:
Te1 0.0000 0.0000 0.0000 x1
Te2 0.0000 0.0000 0.0989 x1
Mo1 0.0000 0.0000 0.8603 x1
Mo2 0.3333 0.6667 0.0494 x1
W1 0.0000 0.0000 0.2373 x1
W2 0.3333 0.6667 0.4249 x1
Se1 0.3333 0.6667 0.8169 x1
Se2 0.3333 0.6667 0.9038 x1
S1 0.0000 0.0000 0.3852 x1
S2 0.0000 0.0000 0.4645 x1
S3 0.3333 0.6667 0.1977 x1
S4 0.3333 0.6667 0.2770 x1


12.
Diffraction record for HoNi2. The XRD peak list is simulated, not measured: it uses a cell relaxed with GGA-PBE and Cu Kα.
Lines closer than 0.1° are merged.

Most intense lines, 2θ from 5° to 70°, sorted by position:
21.59 deg, I 13.6
35.61 deg, I 64.7
42.03 deg, I 100.0
43.99 deg, I 15.1
63.97 deg, I 23.7
68.36 deg, I 30.4

Structure:
a = 7.130 Å, b = 7.130 Å, c = 7.130 Å
α = 90.00°, β = 90.00°, γ = 90.00°
Space group Fd-3m (No. 227, origin choice 2)
One atom of each set of equivalent atoms:
Ho1 0.125 0.125 0.125 x8
Ni1 0.000 0.000 0.500 x16